[1]
Sm3Cd2Ag2: computed powder XRD pattern (λ = 1.5418 Å (Cu Kα)), based on a PBE-relaxed structure.

Atomic structure:
```
Sm3Cd2Ag2
1.0
4.618 0.000 0.000
0.000 22.093 0.000
0.000 0.000 3.507
Sm Cd Ag
6 4 4
direct
0.000 0.000 0.000 Sm
0.000 0.160 0.000 Sm
0.000 0.840 0.000 Sm
0.500 0.340 0.000 Sm
0.500 0.500 0.000 Sm
0.500 0.660 0.000 Sm
0.000 0.423 0.500 Cd
0.000 0.577 0.500 Cd
0.500 0.077 0.500 Cd
0.500 0.923 0.500 Cd
0.000 0.286 0.500 Ag
0.000 0.714 0.500 Ag
0.500 0.214 0.500 Ag
0.500 0.786 0.500 Ag
```

Principal peaks in the range 5° ≤ 2θ ≤ 70°, by angle:
two_theta, I_rel
32.3, 94
34.4, 100
35.3, 59
38.1, 14
39.0, 36
52.2, 15
53.6, 35
64.0, 30
64.1, 19
67.0, 14

***

[2]
Sm4Cd5Ag: computed powder XRD pattern (λ = 1.5418 Å (Cu Kα)), based on a PBE-relaxed structure.

Atomic structure:
```
Sm4Cd5Ag
1.0
7.996 -2.592 0.000
7.996 2.592 0.000
-1.974 0.000 6.300
Sm Cd Ag
4 5 1
direct
0.096 0.096 0.388 Sm
0.312 0.312 0.191 Sm
0.688 0.688 0.809 Sm
0.904 0.904 0.612 Sm
0.099 0.099 0.913 Cd
0.299 0.299 0.694 Cd
0.500 0.500 0.000 Cd
0.701 0.701 0.306 Cd
0.901 0.901 0.087 Cd
0.500 0.500 0.500 Ag
```

Principal peaks in the range 5° ≤ 2θ ≤ 70°, by angle:
two_theta, I_rel
33.4, 100
33.9, 49
34.1, 94
34.6, 47
47.8, 16
49.2, 34
59.9, 17
61.2, 16
61.3, 17
61.7, 16